Record 1
The following is a computed powder diffractogram of LiGeRu3. It was derived from DFT lattice parameters and positions (GGA-PBE), using copper Kα.

Top 7 peaks for 2θ from 10° to 80°, in order of rising 2θ:
2θ/deg, I (rel.)
21.55, 3
30.66, 1
37.79, 100
43.91, 51
49.42, 1
63.84, 33
76.64, 36

Structural model:
Unit cell a=4.1237 b=4.1237 c=4.1237 alpha=90.00 beta=90.00 gamma=90.00
Positions (direct):
Li: 0.0000 0.0000 0.0000
Ge: 0.5000 0.5000 0.5000
Ru: 0.0000 0.0000 0.5000
Ru: 0.0000 0.5000 0.0000
Ru: 0.5000 0.0000 0.0000

=====

Record 2
The following is a computed powder diffractogram of Mn8Fe3. It was derived from DFT lattice parameters and positions (GGA-PBE), using copper Kα.

Top 10 peaks for 2θ from 10° to 80°, in order of rising 2θ:
2θ/deg, I (rel.)
16.96, 12
30.10, 17
39.30, 100
40.44, 43
47.95, 24
50.61, 39
52.50, 24
56.46, 30
76.95, 11
77.70, 16

Structural model:
Unit cell a=5.2431 b=5.2431 c=5.2431 alpha=86.95 beta=86.95 gamma=86.95
Positions (direct):
Mn: 0.1082 0.1082 0.1082
Mn: 0.2715 0.2715 0.6549
Mn: 0.2715 0.6549 0.2715
Mn: 0.3451 0.7285 0.7285
Mn: 0.6549 0.2715 0.2715
Mn: 0.7285 0.3451 0.7285
Mn: 0.7285 0.7285 0.3451
Mn: 0.8918 0.8918 0.8918
Fe: 0.0000 0.0000 0.5000
Fe: 0.0000 0.5000 0.0000
Fe: 0.5000 0.0000 0.0000

=====

Please write out number 2 again, unchanged.
The following is a computed powder diffractogram of Mn8Fe3. It was derived from DFT lattice parameters and positions (GGA-PBE), using copper Kα.

Top 10 peaks for 2θ from 10° to 80°, in order of rising 2θ:
2θ/deg, I (rel.)
16.96, 12
30.10, 17
39.30, 100
40.44, 43
47.95, 24
50.61, 39
52.50, 24
56.46, 30
76.95, 11
77.70, 16

Structural model:
Unit cell a=5.2431 b=5.2431 c=5.2431 alpha=86.95 beta=86.95 gamma=86.95
Positions (direct):
Mn: 0.1082 0.1082 0.1082
Mn: 0.2715 0.2715 0.6549
Mn: 0.2715 0.6549 0.2715
Mn: 0.3451 0.7285 0.7285
Mn: 0.6549 0.2715 0.2715
Mn: 0.7285 0.3451 0.7285
Mn: 0.7285 0.7285 0.3451
Mn: 0.8918 0.8918 0.8918
Fe: 0.0000 0.0000 0.5000
Fe: 0.0000 0.5000 0.0000
Fe: 0.5000 0.0000 0.0000